Diffraction record for Ca11Hg4Pb9. The powder XRD pattern is theoretical, not measured: it uses a cell relaxed with PBE and a wavelength of 1.5418 Å.
Intensities are scaled so that the largest is 1000.

Structural model:
```
data_Ca11Hg4Pb9
_chemical_formula_sum 'Ca11 Hg4 Pb9'
_cell_length_a 13.906
_cell_length_b 13.906
_cell_length_c 3.991
_cell_angle_alpha 90.00
_cell_angle_beta 90.00
_cell_angle_gamma 112.86
_symmetry_space_group_name_H-M 'P 1'
_symmetry_Int_Tables_number 1
_symmetry_space_group_name_Hall 'P 1'
loop_
_atom_site_label
_atom_site_fract_x
_atom_site_fract_y
_atom_site_fract_z
Ca1 0.000 0.000 0.000
Ca2 0.072 0.413 0.000
Ca3 0.161 0.839 0.000
Ca4 0.292 0.292 0.000
Ca5 0.352 0.648 0.000
Ca6 0.413 0.072 0.000
Ca7 0.587 0.928 0.000
Ca8 0.648 0.352 0.000
Ca9 0.708 0.708 0.000
Ca10 0.839 0.161 0.000
Ca11 0.928 0.587 0.000
Hg1 0.258 0.455 0.500
Hg2 0.455 0.258 0.500
Hg3 0.545 0.742 0.500
Hg4 0.742 0.545 0.500
Pb1 0.064 0.212 0.500
Pb2 0.141 0.632 0.500
Pb3 0.212 0.064 0.500
Pb4 0.368 0.859 0.500
Pb5 0.500 0.500 0.500
Pb6 0.632 0.141 0.500
Pb7 0.788 0.936 0.500
Pb8 0.859 0.368 0.500
Pb9 0.936 0.788 0.500
```

Most intense lines, 10° ≤ 2θ ≤ 90°, in order of rising 2θ:
22.3°, I = 823; 23.0°, I = 412; 23.1°, I = 430; 32.3°, I = 897; 32.3°, I = 886; 32.9°, I = 1000; 40.1°, I = 598; 45.5°, I = 330; 51.6°, I = 227; 57.2°, I = 414; 58.4°, I = 232; 67.5°, I = 192